(1)
Structure and calculated PXRD pattern of Ta3Mn2B2N3 (a structure optimized by DFT (GGA-PBE); λ = 1.5418 Å (Cu Kα)).
Lines closer than 0.1° are merged.

Atomic structure:
Unit cell a=9.8970 b=9.8970 c=3.3245 alpha=99.64 beta=99.64 gamma=18.90
Fractional coordinates of all 10 atoms:
Ta: 0.0000 0.0000 0.0000
Ta: 0.3653 0.3653 0.2393
Ta: 0.6344 0.6344 0.5101
Mn: 0.2498 0.2498 0.6266
Mn: 0.7502 0.7502 0.1271
B: 0.1819 0.1819 0.0574
B: 0.8181 0.8181 0.6930
N: 0.1030 0.1030 0.9877
N: 0.5006 0.5006 0.4171
N: 0.8970 0.8970 0.7826

Largest 10 diffraction maxima, in order of falling intensity, 5 to 70 degrees two-theta:
| 2θ/deg | intensity |
| --- | --- |
| 30.84 | 100 |
| 30.28 | 90 |
| 37.39 | 62 |
| 38.75 | 58 |
| 43.23 | 58 |
| 48.37 | 47 |
| 36.18 | 36 |
| 39.91 | 32 |
| 35.69 | 31 |
| 54.94 | 29 |

(2)
Structure and calculated PXRD pattern of Pr4Tm3Cd (a structure optimized by DFT (GGA-PBE); λ = 1.5418 Å (Cu Kα)).
Lines closer than 0.1° are merged.

Atomic structure:
Unit cell a=3.6679 b=3.6679 c=19.1650 alpha=90.00 beta=90.00 gamma=90.00
Fractional coordinates of all 8 atoms:
Pr: 0.0000 0.0000 0.1122
Pr: 0.0000 0.0000 0.3718
Pr: 0.0000 0.0000 0.6282
Pr: 0.0000 0.0000 0.8878
Tm: 0.5000 0.5000 0.2428
Tm: 0.5000 0.5000 0.5000
Tm: 0.5000 0.5000 0.7572
Cd: 0.5000 0.5000 0.0000

Largest 10 diffraction maxima, in order of falling intensity, 5 to 70 degrees two-theta:
| 2θ/deg | intensity |
| --- | --- |
| 30.70 | 100 |
| 34.58 | 38 |
| 59.57 | 30 |
| 51.96 | 21 |
| 49.71 | 14 |
| 37.54 | 13 |
| 63.93 | 11 |
| 63.54 | 9 |
| 58.66 | 3 |
| 28.05 | 2 |

(3)
Structure and calculated PXRD pattern of Na2Tl3Pb5 (a structure optimized by DFT (GGA-PBE); λ = 1.5418 Å (Cu Kα)).
Lines closer than 0.1° are merged.

Atomic structure:
Unit cell a=9.9692 b=9.9692 c=6.4539 alpha=90.33 beta=90.33 gamma=102.30
Fractional coordinates of all 20 atoms:
Na: 0.1215 0.6235 0.6308
Na: 0.3765 0.8785 0.8692
Na: 0.6235 0.1215 0.1308
Na: 0.8785 0.3765 0.3692
Tl: 0.0257 0.7235 0.1184
Tl: 0.2765 0.9743 0.3816
Tl: 0.4500 0.5500 0.7500
Tl: 0.5500 0.4500 0.2500
Tl: 0.7235 0.0257 0.6184
Tl: 0.9743 0.2765 0.8816
Pb: 0.0390 0.9610 0.7500
Pb: 0.2068 0.2841 0.5118
Pb: 0.2345 0.5198 0.1456
Pb: 0.2841 0.2068 0.0118
Pb: 0.4802 0.7655 0.3544
Pb: 0.5198 0.2345 0.6456
Pb: 0.7159 0.7932 0.9882
Pb: 0.7655 0.4802 0.8544
Pb: 0.7932 0.7159 0.4882
Pb: 0.9610 0.0390 0.2500

Largest 10 diffraction maxima, in order of falling intensity, 5 to 70 degrees two-theta:
| 2θ/deg | intensity |
| --- | --- |
| 32.77 | 100 |
| 31.07 | 60 |
| 26.19 | 43 |
| 30.83 | 42 |
| 11.40 | 41 |
| 30.92 | 37 |
| 33.42 | 34 |
| 36.91 | 30 |
| 16.42 | 29 |
| 39.15 | 25 |

(4)
Structure and calculated PXRD pattern of Pu2Ag2Pd3 (a structure optimized by DFT (GGA-PBE); λ = 1.5418 Å (Cu Kα)).
Lines closer than 0.1° are merged.

Atomic structure:
Unit cell a=4.8505 b=5.4702 c=5.5073 alpha=98.83 beta=108.15 gamma=93.74
Fractional coordinates of all 7 atoms:
Pu: 0.2384 0.3280 0.4513
Pu: 0.7616 0.6720 0.5487
Ag: 0.0961 0.7780 0.1489
Ag: 0.9039 0.2220 0.8511
Pd: 0.3379 0.9185 0.7434
Pd: 0.5000 0.5000 0.0000
Pd: 0.6621 0.0815 0.2566

Largest 10 diffraction maxima, in order of falling intensity, 5 to 70 degrees two-theta:
| 2θ/deg | intensity |
| --- | --- |
| 37.19 | 100 |
| 35.84 | 97 |
| 37.45 | 93 |
| 36.74 | 91 |
| 39.80 | 80 |
| 39.25 | 79 |
| 48.71 | 37 |
| 17.24 | 27 |
| 57.57 | 27 |
| 56.70 | 24 |

(5)
Structure and calculated PXRD pattern of Pm2Zn5Pd2Rh (a structure optimized by DFT (GGA-PBE); λ = 1.5418 Å (Cu Kα)).
Lines closer than 0.1° are merged.

Atomic structure:
Unit cell a=9.8220 b=9.8220 c=3.8255 alpha=90.00 beta=90.00 gamma=90.00
Fractional coordinates of all 20 atoms:
Pm: 0.1812 0.3188 0.0000
Pm: 0.3188 0.8188 0.0000
Pm: 0.6812 0.1812 0.0000
Pm: 0.8188 0.6812 0.0000
Zn: 0.0000 0.5000 0.5000
Zn: 0.0508 0.8134 0.5000
Zn: 0.1866 0.0508 0.5000
Zn: 0.3134 0.5508 0.5000
Zn: 0.4492 0.3134 0.5000
Zn: 0.5000 0.0000 0.5000
Zn: 0.5508 0.6866 0.5000
Zn: 0.6866 0.4492 0.5000
Zn: 0.8134 0.9492 0.5000
Zn: 0.9492 0.1866 0.5000
Pd: 0.1192 0.6192 0.0000
Pd: 0.3808 0.1192 0.0000
Pd: 0.6192 0.8808 0.0000
Pd: 0.8808 0.3808 0.0000
Rh: 0.0000 0.0000 0.0000
Rh: 0.5000 0.5000 0.0000

Largest 10 diffraction maxima, in order of falling intensity, 5 to 70 degrees two-theta:
| 2θ/deg | intensity |
| --- | --- |
| 37.29 | 100 |
| 37.76 | 42 |
| 40.66 | 39 |
| 34.89 | 26 |
| 47.54 | 25 |
| 38.90 | 21 |
| 62.25 | 19 |
| 62.43 | 13 |
| 23.25 | 12 |
| 28.74 | 10 |

(6)
Structure and calculated PXRD pattern of V2CoTe6 (a structure optimized by DFT (GGA-PBE); λ = 1.5418 Å (Cu Kα)).
Lines closer than 0.1° are merged.

Atomic structure:
Unit cell a=6.4720 b=6.4720 c=5.8603 alpha=90.00 beta=90.00 gamma=120.00
Fractional coordinates of all 9 atoms:
V: 0.3333 0.6667 0.0000
V: 0.6667 0.3333 0.0000
Co: 0.0000 0.0000 0.5000
Te: 0.0000 0.3383 0.2681
Te: 0.0000 0.6617 0.7319
Te: 0.3383 0.0000 0.2681
Te: 0.3383 0.3383 0.7319
Te: 0.6617 0.0000 0.7319
Te: 0.6617 0.6617 0.2681

Largest 10 diffraction maxima, in order of falling intensity, 5 to 70 degrees two-theta:
| 2θ/deg | intensity |
| --- | --- |
| 31.58 | 100 |
| 41.58 | 33 |
| 48.74 | 29 |
| 54.90 | 19 |
| 59.25 | 16 |
| 30.51 | 14 |
| 58.60 | 13 |
| 65.95 | 8 |
| 21.94 | 8 |
| 27.56 | 7 |